This entry pairs a crystal structure of Dy2HoSi4Ni4 with its simulated X-ray diffraction stick pattern. Radiation: Cu Ka. Structure: DFT lattice parameters and positions (GGA-PBE).

Top 10 peaks for 2θ = 10–90°, by intensity:
| d_spacing | 2θ (°) | I (rel.) | h k l |
| --- | --- | --- | --- |
| 2.390 | 37.63 | 100.0 | 1 1 4 |
| 2.498 | 35.95 | 98.3 | 1 2 1 |
| 1.959 | 46.35 | 35.5 | 0 3 3 |
| 2.465 | 36.44 | 35.1 | 0 1 5 |
| 2.018 | 44.91 | 34.6 | 2 0 0 |
| 3.672 | 24.24 | 33.2 | 0 1 3 |
| 3.863 | 23.02 | 26.2 | 1 0 1 |
| 3.053 | 29.25 | 24.4 | 1 1 2 |
| 1.406 | 66.52 | 23.5 | 2 3 3 |
| 1.663 | 55.23 | 23.4 | 1 3 4 |

Structure:
a = 4.037 Å, b = 6.550 Å, c = 13.305 Å
α = 90.00°, β = 90.00°, γ = 90.00°
Space group Immm (No. 71)
Asymmetric unit:
1 Dy 0.000 0.000 0.129 [4 per cell]
2 Ho 0.000 0.500 0.000 [2 per cell]
3 Si 0.000 0.312 0.500 [4 per cell]
4 Si 0.000 0.500 0.217 [4 per cell]
5 Ni 0.000 0.196 0.323 [8 per cell]